[1]
Starting from the PBE geometry in Alexandria, the powder diffraction line list of HfFe2HIr was computed for a wavelength of 1.5418 Å.
Intensities are scaled so that the largest is 100.

The 9 most intense peaks (5 to 70 degrees two-theta), by angle:
22.47°, 3.958 Å, intensity 28, hkl 0 0 1; 32.69°, 2.739 Å, intensity 23, hkl 1 1 0; 40.03°, 2.252 Å, intensity 100, hkl 1 1 1; 45.86°, 1.979 Å, intensity 17, hkl 0 0 2; 46.91°, 1.937 Å, intensity 32, hkl 2 0 0; 52.61°, 1.740 Å, intensity 12, hkl 2 0 1; 57.45°, 1.604 Å, intensity 10, hkl 1 1 2; 67.69°, 1.384 Å, intensity 21, hkl 2 0 2; 68.51°, 1.370 Å, intensity 10, hkl 2 2 0

Cell and atoms:
```
data_HfFe2HIr
_cell_length_a 3.874
_cell_length_b 3.874
_cell_length_c 3.958
_cell_angle_alpha 90.00
_cell_angle_beta 90.00
_cell_angle_gamma 90.00
_symmetry_space_group_name_H-M 'P 4/m m m'
_symmetry_Int_Tables_number 123
_symmetry_space_group_name_Hall '-P 4 2'
loop_
_atom_site_label
_atom_site_fract_x
_atom_site_fract_y
_atom_site_fract_z
Hf1 0.000 0.000 0.000
Fe1 0.000 0.500 0.500
H1 0.500 0.500 0.500
Ir1 0.500 0.500 0.000
```

=====

[2]
Starting from the PBE geometry in Alexandria, the powder diffraction line list of CaAgF5 was computed for a wavelength of 1.5418 Å.
Intensities are scaled so that the largest is 100.

The 10 most intense peaks (5 to 70 degrees two-theta), by angle:
17.81°, 4.980 Å, intensity 41, hkl 0 1 0; 19.77°, 4.491 Å, intensity 33, hkl 0 1 -1; 22.24°, 3.998 Å, intensity 36, hkl 1 -1 0; 24.63°, 3.615 Å, intensity 38, hkl 1 -1 1; 26.25°, 3.395 Å, intensity 100, hkl 1 0 -2; 28.04°, 3.182 Å, intensity 52, hkl 1 1 0; 29.01°, 3.078 Å, intensity 31, hkl 0 1 2; 33.00°, 2.714 Å, intensity 37, hkl 1 1 -2; 38.61°, 2.332 Å, intensity 25, hkl 0 2 1; 39.07°, 2.305 Å, intensity 30, hkl 1 -1 3

Cell and atoms:
```
data_CaAgF5
_cell_length_a 5.117
_cell_length_b 5.134
_cell_length_c 8.534
_cell_angle_alpha 94.51
_cell_angle_beta 94.58
_cell_angle_gamma 102.50
_symmetry_space_group_name_H-M 'P -1'
_symmetry_Int_Tables_number 2
_symmetry_space_group_name_Hall '-P 1'
loop_
_atom_site_label
_atom_site_fract_x
_atom_site_fract_y
_atom_site_fract_z
Ca1 0.000 0.000 0.000
Ca2 0.000 0.000 0.500
Ag1 0.428 0.573 0.250
F1 0.072 0.928 0.750
F2 0.125 0.622 0.113
F3 0.259 0.440 0.601
F4 0.380 0.874 0.388
F5 0.439 0.260 0.100
```

=====

[3]
Starting from the PBE geometry in Alexandria, the powder diffraction line list of K2Te4O9 was computed for a wavelength of 1.5418 Å.
Intensities are scaled so that the largest is 100.

The 10 most intense peaks (5 to 70 degrees two-theta), by angle:
11.96°, 7.403 Å, intensity 55, hkl 1 0 0; 19.20°, 4.623 Å, intensity 38, hkl 1 1 1; 26.97°, 3.306 Å, intensity 76, hkl 0 3 2; 28.12°, 3.174 Å, intensity 43, hkl 2 0 -2; 28.27°, 3.157 Å, intensity 100, hkl 2 3 0; 29.53°, 3.025 Å, intensity 50, hkl 0 6 0; 32.10°, 2.788 Å, intensity 19, hkl 1 3 2; 41.23°, 2.190 Å, intensity 39, hkl 2 6 -2; 50.64°, 1.803 Å, intensity 19, hkl 4 3 -2; 51.61°, 1.771 Å, intensity 19, hkl 2 9 0

Cell and atoms:
```
data_K2Te4O9
_cell_length_a 7.703
_cell_length_b 18.151
_cell_length_c 8.217
_cell_angle_alpha 90.00
_cell_angle_beta 106.06
_cell_angle_gamma 90.00
_symmetry_space_group_name_H-M 'P 1 21/c 1'
_symmetry_Int_Tables_number 14
_symmetry_space_group_name_Hall '-P 2ybc'
loop_
_atom_site_label
_atom_site_fract_x
_atom_site_fract_y
_atom_site_fract_z
K1 0.134 0.089 0.141
K2 0.154 0.747 0.128
Te1 0.183 0.093 0.684
Te2 0.349 0.579 0.346
Te3 0.383 0.242 0.969
Te4 0.395 0.581 0.914
O1 0.138 0.159 0.845
O2 0.164 0.006 0.833
O3 0.197 0.646 0.406
O4 0.203 0.201 0.527
O5 0.257 0.589 0.101
O6 0.388 0.056 0.422
O7 0.406 0.690 0.918
O8 0.443 0.087 0.766
O9 0.449 0.177 0.158
```

=====

[4]
Starting from the PBE geometry in Alexandria, the powder diffraction line list of PaAgSb was computed for a wavelength of 1.5418 Å.
Intensities are scaled so that the largest is 100.

The 10 most intense peaks (5 to 70 degrees two-theta), by angle:
22.02°, 4.037 Å, intensity 12, hkl 1 0 0; 31.80°, 2.814 Å, intensity 100, hkl 0 1 1; 38.63°, 2.331 Å, intensity 54, hkl 1 1 0; 46.26°, 1.963 Å, intensity 6, hkl 0 0 2; 50.86°, 1.795 Å, intensity 27, hkl 2 0 1; 51.79°, 1.765 Å, intensity 14, hkl 1 0 2; 61.79°, 1.501 Å, intensity 14, hkl 1 1 2; 65.64°, 1.422 Å, intensity 25, hkl 1 2 1; 66.44°, 1.407 Å, intensity 7, hkl 0 2 2; 69.90°, 1.346 Å, intensity 9, hkl 3 0 0

Cell and atoms:
```
data_PaAgSb
_cell_length_a 4.6620
_cell_length_b 4.6620
_cell_length_c 3.9251
_cell_angle_alpha 90.00
_cell_angle_beta 90.00
_cell_angle_gamma 120.00
_symmetry_space_group_name_H-M 'P 3 m 1'
_symmetry_Int_Tables_number 156
_symmetry_space_group_name_Hall 'P 3 -2"'
loop_
_atom_site_label
_atom_site_fract_x
_atom_site_fract_y
_atom_site_fract_z
Pa1 0.0000 0.0000 0.0000
Ag1 0.6667 0.3333 0.6347
Sb1 0.3333 0.6667 0.4646
```

=====

[5]
Starting from the PBE geometry in Alexandria, the powder diffraction line list of AcH2Pd4 was computed for a wavelength of 1.5418 Å.
Intensities are scaled so that the largest is 100.

The 10 most intense peaks (5 to 70 degrees two-theta), by angle:
25.14°, 3.542 Å, intensity 21, hkl 2 0 0; 34.97°, 2.566 Å, intensity 100, hkl 2 1 1; 40.26°, 2.240 Å, intensity 18, hkl 3 1 0; 41.26°, 2.188 Å, intensity 16, hkl 0 0 2; 48.93°, 1.861 Å, intensity 7, hkl 2 0 2; 51.61°, 1.771 Å, intensity 8, hkl 4 0 0; 55.00°, 1.670 Å, intensity 12, hkl 3 3 0; 57.64°, 1.599 Å, intensity 9, hkl 4 1 1; 59.01°, 1.565 Å, intensity 12, hkl 3 1 2; 68.12°, 1.377 Å, intensity 7, hkl 4 0 2

Cell and atoms:
```
data_AcH2Pd4
_cell_length_a 7.083
_cell_length_b 7.083
_cell_length_c 4.376
_cell_angle_alpha 90.00
_cell_angle_beta 90.00
_cell_angle_gamma 90.00
_symmetry_space_group_name_H-M 'P 42/m n m'
_symmetry_Int_Tables_number 136
_symmetry_space_group_name_Hall '-P 4n 2n'
loop_
_atom_site_label
_atom_site_fract_x
_atom_site_fract_y
_atom_site_fract_z
Ac1 0.000 0.000 0.000
H1 0.213 0.213 0.500
Pd1 0.008 0.690 0.500
```

=====

[6]
Starting from the PBE geometry in Alexandria, the powder diffraction line list of Np2USe6 was computed for a wavelength of 1.5418 Å.
Intensities are scaled so that the largest is 100.

The 10 most intense peaks (5 to 70 degrees two-theta), by angle:
23.72°, 3.751 Å, intensity 73, hkl 1 1 0; 24.18°, 3.681 Å, intensity 68, hkl 0 1 1; 31.13°, 2.873 Å, intensity 60, hkl 1 1 1; 34.13°, 2.627 Å, intensity 100, hkl 2 0 1; 41.71°, 2.166 Å, intensity 60, hkl 3 0 0; 41.99°, 2.152 Å, intensity 70, hkl 3 -2 1; 42.81°, 2.112 Å, intensity 31, hkl 0 1 2; 49.53°, 1.840 Å, intensity 22, hkl 2 0 2; 55.62°, 1.652 Å, intensity 25, hkl 3 -2 2; 66.08°, 1.414 Å, intensity 33, hkl 2 3 1

Cell and atoms:
```
data_Np2USe6
_cell_length_a 7.5020
_cell_length_b 7.5020
_cell_length_c 4.4670
_cell_angle_alpha 90.00
_cell_angle_beta 90.00
_cell_angle_gamma 120.00
_symmetry_space_group_name_H-M 'P -3'
_symmetry_Int_Tables_number 147
_symmetry_space_group_name_Hall '-P 3'
loop_
_atom_site_label
_atom_site_fract_x
_atom_site_fract_y
_atom_site_fract_z
Np1 0.3333 0.6667 0.2347
U1 0.0000 0.0000 0.0000
Se1 0.0817 0.3781 0.7439
```

=====

[7]
Starting from the PBE geometry in Alexandria, the powder diffraction line list of TaOsBr3 was computed for a wavelength of 1.5418 Å.
Intensities are scaled so that the largest is 100.

The 10 most intense peaks (5 to 70 degrees two-theta), by angle:
17.22°, 5.149 Å, intensity 9, hkl 1 0 0; 24.45°, 3.641 Å, intensity 100, hkl 1 1 0; 30.06°, 2.973 Å, intensity 33, hkl 1 1 1; 34.85°, 2.574 Å, intensity 96, hkl 2 0 0; 43.03°, 2.102 Å, intensity 46, hkl 2 1 1; 50.11°, 1.820 Å, intensity 68, hkl 2 2 0; 56.52°, 1.628 Å, intensity 21, hkl 3 1 0; 59.55°, 1.552 Å, intensity 14, hkl 3 1 1; 62.49°, 1.486 Å, intensity 23, hkl 2 2 2; 68.14°, 1.376 Å, intensity 24, hkl 3 2 1

Cell and atoms:
```
data_TaOsBr3
_cell_length_a 5.149
_cell_length_b 5.149
_cell_length_c 5.149
_cell_angle_alpha 90.00
_cell_angle_beta 90.00
_cell_angle_gamma 90.00
_symmetry_space_group_name_H-M 'P m -3 m'
_symmetry_Int_Tables_number 221
_symmetry_space_group_name_Hall '-P 4 2 3'
loop_
_atom_site_label
_atom_site_fract_x
_atom_site_fract_y
_atom_site_fract_z
Ta1 0.000 0.000 0.000
Os1 0.500 0.500 0.500
Br1 0.000 0.000 0.500
```

=====

[8]
Starting from the PBE geometry in Alexandria, the powder diffraction line list of TiFeHPd2 was computed for a wavelength of 1.5418 Å.
Intensities are scaled so that the largest is 100.

The 10 most intense peaks (5 to 70 degrees two-theta), by angle:
21.73°, 4.090 Å, intensity 14, hkl 0 0 1; 32.78°, 2.732 Å, intensity 10, hkl 1 1 0; 39.67°, 2.272 Å, intensity 100, hkl 1 1 1; 44.29°, 2.045 Å, intensity 18, hkl 0 0 2; 47.03°, 1.932 Å, intensity 31, hkl 2 0 0; 52.37°, 1.747 Å, intensity 6, hkl 2 0 1; 56.18°, 1.637 Å, intensity 4, hkl 1 1 2; 66.59°, 1.404 Å, intensity 21, hkl 2 0 2; 68.71°, 1.366 Å, intensity 9, hkl 2 2 0; 68.87°, 1.363 Å, intensity 1, hkl 0 0 3

Cell and atoms:
```
data_TiFeHPd2
_cell_length_a 3.864
_cell_length_b 3.864
_cell_length_c 4.090
_cell_angle_alpha 90.00
_cell_angle_beta 90.00
_cell_angle_gamma 90.00
_symmetry_space_group_name_H-M 'P 4/m m m'
_symmetry_Int_Tables_number 123
_symmetry_space_group_name_Hall '-P 4 2'
loop_
_atom_site_label
_atom_site_fract_x
_atom_site_fract_y
_atom_site_fract_z
Ti1 0.000 0.000 0.000
Fe1 0.500 0.500 0.000
H1 0.000 0.000 0.500
Pd1 0.000 0.500 0.500
```

=====

[9]
Starting from the PBE geometry in Alexandria, the powder diffraction line list of K3NpO8 was computed for a wavelength of 1.5418 Å.
Intensities are scaled so that the largest is 100.

The 10 most intense peaks (5 to 70 degrees two-theta), by angle:
15.16°, 5.846 Å, intensity 45, hkl 1 0 0; 15.82°, 5.603 Å, intensity 100, hkl 0 1 1; 17.06°, 5.199 Å, intensity 96, hkl 1 1 -1; 19.92°, 4.457 Å, intensity 46, hkl 0 2 0; 24.71°, 3.603 Å, intensity 41, hkl 0 0 2; 25.13°, 3.544 Å, intensity 67, hkl 1 2 0; 26.01°, 3.425 Å, intensity 33, hkl 1 1 1; 27.88°, 3.200 Å, intensity 40, hkl 2 0 -2; 29.41°, 3.037 Å, intensity 49, hkl 1 2 -2; 38.83°, 2.319 Å, intensity 29, hkl 0 1 3

Cell and atoms:
```
data_K3NpO8
_cell_length_a 6.785
_cell_length_b 8.914
_cell_length_c 8.364
_cell_angle_alpha 90.00
_cell_angle_beta 120.52
_cell_angle_gamma 90.00
_symmetry_space_group_name_H-M 'P 1 21/c 1'
_symmetry_Int_Tables_number 14
_symmetry_space_group_name_Hall '-P 2ybc'
loop_
_atom_site_label
_atom_site_fract_x
_atom_site_fract_y
_atom_site_fract_z
K1 0.000 0.000 0.000
K2 0.429 0.222 0.431
Np1 0.000 0.000 0.500
O1 0.105 0.202 0.546
O2 0.174 0.536 0.884
O3 0.316 0.556 0.311
O4 0.482 0.022 0.174
```

=====

[10]
Starting from the PBE geometry in Alexandria, the powder diffraction line list of Tb3PuAg4S8 was computed for a wavelength of 1.5418 Å.
Intensities are scaled so that the largest is 100.

The 10 most intense peaks (5 to 70 degrees two-theta), by angle:
27.17°, 3.282 Å, intensity 89, hkl 2 2 0; 29.37°, 3.041 Å, intensity 24, hkl 4 0 -2; 32.06°, 2.792 Å, intensity 50, hkl 4 0 0; 32.17°, 2.782 Å, intensity 100, hkl 2 2 -2; 44.62°, 2.031 Å, intensity 60, hkl 2 2 2; 47.47°, 1.915 Å, intensity 33, hkl 6 2 -2; 47.60°, 1.910 Å, intensity 17, hkl 4 0 -4; 54.37°, 1.687 Å, intensity 18, hkl 4 4 -2; 56.04°, 1.641 Å, intensity 30, hkl 4 4 0; 67.30°, 1.391 Å, intensity 11, hkl 4 4 -4

Cell and atoms:
```
data_Tb3PuAg4S8
_cell_length_a 13.056
_cell_length_b 8.120
_cell_length_c 7.666
_cell_angle_alpha 90.00
_cell_angle_beta 121.21
_cell_angle_gamma 90.00
_symmetry_space_group_name_H-M 'C 1 2/m 1'
_symmetry_Int_Tables_number 12
_symmetry_space_group_name_Hall '-C 2y'
loop_
_atom_site_label
_atom_site_fract_x
_atom_site_fract_y
_atom_site_fract_z
Tb1 0.000 0.000 0.000
Tb2 0.250 0.250 0.500
Pu1 0.000 0.500 0.000
Ag1 0.000 0.000 0.500
Ag2 0.000 0.500 0.500
Ag3 0.250 0.250 0.000
S1 0.003 0.249 0.249
S2 0.247 0.000 0.251
S3 0.248 0.500 0.254
```

=====

[11]
Starting from the PBE geometry in Alexandria, the powder diffraction line list of Sr6Li2Ir was computed for a wavelength of 1.5418 Å.
Intensities are scaled so that the largest is 100.

The 10 most intense peaks (5 to 70 degrees two-theta), by angle:
12.63°, 7.006 Å, intensity 80, hkl 0 1 1; 14.07°, 6.293 Å, intensity 55, hkl 1 0 0; 15.46°, 5.731 Å, intensity 100, hkl 0 0 2; 24.56°, 3.625 Å, intensity 37, hkl 1 2 0; 25.69°, 3.468 Å, intensity 30, hkl 2 1 -2; 26.22°, 3.399 Å, intensity 47, hkl 1 0 -4; 26.86°, 3.320 Å, intensity 40, hkl 2 1 -1; 28.10°, 3.176 Å, intensity 36, hkl 1 2 -3; 32.54°, 2.752 Å, intensity 38, hkl 1 3 -1; 45.73°, 1.984 Å, intensity 34, hkl 2 3 -5

Cell and atoms:
```
data_Sr6Li2Ir
_cell_length_a 7.537
_cell_length_b 8.867
_cell_length_c 13.684
_cell_angle_alpha 90.00
_cell_angle_beta 123.34
_cell_angle_gamma 90.00
_symmetry_space_group_name_H-M 'P 1 21/c 1'
_symmetry_Int_Tables_number 14
_symmetry_space_group_name_Hall '-P 2ybc'
loop_
_atom_site_label
_atom_site_fract_x
_atom_site_fract_y
_atom_site_fract_z
Sr1 0.123 0.169 0.451
Sr2 0.295 0.702 0.449
Sr3 0.371 0.026 0.255
Li1 0.187 0.106 0.758
Ir1 0.500 0.000 0.500
```

=====

[12]
Starting from the PBE geometry in Alexandria, the powder diffraction line list of TmAl7Ni5 was computed for a wavelength of 1.5418 Å.
Intensities are scaled so that the largest is 100.

The 10 most intense peaks (5 to 70 degrees two-theta), by angle:
14.67°, 6.040 Å, intensity 60, hkl 0 1 1; 20.67°, 4.296 Å, intensity 25, hkl 1 0 1; 29.34°, 3.044 Å, intensity 30, hkl 1 2 1; 29.57°, 3.021 Å, intensity 86, hkl 0 2 2; 41.85°, 2.158 Å, intensity 100, hkl 0 4 0; 42.08°, 2.147 Å, intensity 95, hkl 2 0 2; 42.37°, 2.133 Å, intensity 40, hkl 1 2 3; 42.76°, 2.115 Å, intensity 37, hkl 0 0 4; 47.28°, 1.923 Å, intensity 30, hkl 2 2 2; 61.38°, 1.510 Å, intensity 39, hkl 0 4 4

Cell and atoms:
```
data_TmAl7Ni5
_cell_length_a 4.988
_cell_length_b 8.629
_cell_length_c 8.458
_cell_angle_alpha 90.00
_cell_angle_beta 90.00
_cell_angle_gamma 90.00
_symmetry_space_group_name_H-M 'I m m 2'
_symmetry_Int_Tables_number 44
_symmetry_space_group_name_Hall 'I 2 -2'
loop_
_atom_site_label
_atom_site_fract_x
_atom_site_fract_y
_atom_site_fract_z
Tm1 0.000 0.000 0.000
Al1 0.000 0.000 0.336
Al2 0.000 0.000 0.650
Al3 0.000 0.293 0.508
Al4 0.000 0.345 0.981
Al5 0.000 0.500 0.270
Ni1 0.000 0.500 0.724
Ni2 0.248 0.259 0.248
```